Entry 1:
This entry pairs a crystal structure of Ba3Ce2S2O5 with its simulated powder X-ray diffraction pattern. Radiation: Cu Ka. Structure: a DFT-relaxed cell (PBE, Alexandria).

Structure:
abc: 4.488 4.488 25.534
angles: 90.00 90.00 90.00
Space group I4/mmm (No. 139)
Unique sites:
Ba 0.000 0.000 0.000 (multiplicity 2)
Ba 0.000 0.000 0.179 (multiplicity 4)
Ce 0.000 0.000 0.414 (multiplicity 4)
S 0.000 0.000 0.303 (multiplicity 4)
O 0.000 0.000 0.500 (multiplicity 2)
O 0.000 0.500 0.084 (multiplicity 8)

Main lines, in order of rising 2θ (2θ from 10° to 90°):
hkl  2θ (°)  Rel. int.
1 0 5  26.44  100
1 1 0  28.12  80
1 0 7  31.61  37
2 0 0  40.19  43
2 1 5  48.75  39
2 1 7  52.01  18
3 1 0  65.80  17
2 1 17  79.75  16



Entry 2:
This entry pairs a crystal structure of BaCeSeO6 with its simulated powder X-ray diffraction pattern. Radiation: Cu Ka. Structure: a DFT-relaxed cell (PBE, Alexandria).

Structure:
abc: 5.5930 5.5930 5.5883
angles: 90.00 90.00 120.00
Space group P312 (No. 149)
Unique sites:
Ba 0.0000 0.0000 0.0000 (multiplicity 1)
Ce 0.3333 0.6667 0.5000 (multiplicity 1)
Se 0.6667 0.3333 0.5000 (multiplicity 1)
O 0.4062 0.0563 0.6889 (multiplicity 6)

Main lines, in order of rising 2θ (2θ from 10° to 90°):
hkl  2θ (°)  Rel. int.
1 0 1  24.32  100
1 1 0  32.01  47
2 0 1  40.60  23
2 -1 2  45.91  41
3 -1 1  52.62  34
0 0 4  66.94  16
3 1 1  72.36  19
1 1 4  76.15  17



Entry 3:
This entry pairs a crystal structure of BaCeSeO2 with its simulated powder X-ray diffraction pattern. Radiation: Cu Ka. Structure: a DFT-relaxed cell (PBE, Alexandria).

Structure:
abc: 4.383 4.383 6.203
angles: 90.00 90.00 90.00
Space group P4mm (No. 99)
Unique sites:
Ba 0.000 0.000 0.000 (multiplicity 1)
Ce 0.500 0.500 0.359 (multiplicity 1)
Se 0.500 0.500 0.826 (multiplicity 1)
O 0.000 0.500 0.286 (multiplicity 2)

Main lines, in order of rising 2θ (2θ from 10° to 90°):
hkl  2θ (°)  Rel. int.
0 0 1  14.28  22
1 0 1  24.88  81
1 1 0  28.81  100
1 0 2  35.46  77
2 0 0  41.19  71
2 1 1  48.72  31
2 1 2  55.46  42
3 1 0  67.59  23



Entry 4:
This entry pairs a crystal structure of BaSrCe4O12 with its simulated powder X-ray diffraction pattern. Radiation: Cu Ka. Structure: a DFT-relaxed cell (PBE, Alexandria).

Structure:
abc: 8.766 9.058 8.578
angles: 90.00 90.00 90.00
Space group Amm2 (No. 38)
Unique sites:
Ba 0.000 0.000 0.000 (multiplicity 2)
Sr 0.500 0.000 0.596 (multiplicity 2)
Ce 0.257 0.230 0.305 (multiplicity 8)
O 0.000 0.235 0.304 (multiplicity 4)
O 0.231 0.202 0.052 (multiplicity 8)
O 0.244 0.000 0.770 (multiplicity 4)
O 0.306 0.000 0.371 (multiplicity 4)
O 0.500 0.213 0.778 (multiplicity 4)

Main lines, in order of rising 2θ (2θ from 10° to 90°):
hkl  2θ (°)  Rel. int.
1 1 1  17.47  66
0 2 0  19.60  37
2 0 0  20.26  38
0 0 2  20.71  44
2 2 0  28.34  100
0 2 2  28.67  93
2 0 2  29.13  83
4 2 2  50.96  40



Entry 5:
This entry pairs a crystal structure of BaSrTbCeO6 with its simulated powder X-ray diffraction pattern. Radiation: Cu Ka. Structure: a DFT-relaxed cell (PBE, Alexandria).

Structure:
abc: 6.151 6.234 8.751
angles: 90.00 90.01 90.12
Space group P-1 (No. 2)
Unique sites:
Ba 0.009 0.466 0.250 (multiplicity 2)
Sr 0.488 0.960 0.250 (multiplicity 2)
Tb 0.000 0.000 0.500 (multiplicity 1)
Tb 0.500 0.500 0.000 (multiplicity 1)
Ce 0.000 0.000 0.000 (multiplicity 1)
Ce 0.500 0.500 0.500 (multiplicity 1)
O 0.101 0.985 0.752 (multiplicity 2)
O 0.211 0.717 0.043 (multiplicity 2)
O 0.215 0.711 0.459 (multiplicity 2)
O 0.290 0.206 0.055 (multiplicity 2)
O 0.295 0.210 0.445 (multiplicity 2)
O 0.422 0.451 0.748 (multiplicity 2)

Main lines, in order of rising 2θ (2θ from 10° to 90°):
hkl  2θ (°)  Rel. int.
0 2 0  28.64  24
1 1 2  28.85  100
2 0 0  29.03  24
0 0 4  41.25  39
1 -3 2  50.86  19
3 -1 2  51.28  23
2 -2 4  59.76  15
1 1 6  67.72  13



Entry 6:
This entry pairs a crystal structure of BaCeTe2O8 with its simulated powder X-ray diffraction pattern. Radiation: Cu Ka. Structure: a DFT-relaxed cell (PBE, Alexandria).

Structure:
abc: 6.2354 6.2354 7.6468
angles: 90.00 90.00 120.00
Space group P-3m1 (No. 164)
Unique sites:
Ba 0.0000 0.0000 0.0000 (multiplicity 1)
Ce 0.0000 0.0000 0.5000 (multiplicity 1)
Te 0.3333 0.6667 0.7542 (multiplicity 2)
O 0.1566 0.3133 0.6967 (multiplicity 6)
O 0.3333 0.6667 0.9944 (multiplicity 2)

Main lines, in order of rising 2θ (2θ from 10° to 90°):
hkl  2θ (°)  Rel. int.
1 0 0  16.42  17
0 1 1  20.13  55
1 1 0  28.62  100
0 2 2  40.92  25
1 2 1  46.03  13
3 0 0  50.70  34
1 1 4  56.46  16
2 2 0  59.27  10



Entry 7:
This entry pairs a crystal structure of Ba2CeThO6 with its simulated powder X-ray diffraction pattern. Radiation: Cu Ka. Structure: a DFT-relaxed cell (PBE, Alexandria).

Structure:
abc: 6.338 6.366 10.967
angles: 90.00 125.19 90.00
Space group P2_1/c (No. 14)
Unique sites:
Ba 0.241 0.028 0.250 (multiplicity 4)
Ce 0.000 0.000 0.500 (multiplicity 2)
Th 0.500 0.000 0.000 (multiplicity 2)
O 0.170 0.220 0.955 (multiplicity 4)
O 0.234 0.715 0.955 (multiplicity 4)
O 0.331 0.023 0.747 (multiplicity 4)

Main lines, in order of rising 2θ (2θ from 10° to 90°):
hkl  2θ (°)  Rel. int.
1 1 1  28.08  100
1 1 -3  28.15  99
0 0 4  40.18  52
1 3 -3  49.66  27
3 1 -5  49.80  54
2 2 -6  58.16  21
1 1 5  65.83  18
3 1 3  80.00  14



Entry 8:
This entry pairs a crystal structure of Ba3CeTl2O8 with its simulated powder X-ray diffraction pattern. Radiation: Cu Ka. Structure: a DFT-relaxed cell (PBE, Alexandria).

Structure:
abc: 6.2666 6.2666 7.9880
angles: 90.00 90.00 120.00
Space group P-3m1 (No. 164)
Unique sites:
Ba 0.0000 0.0000 0.0000 (multiplicity 1)
Ba 0.3333 0.6667 0.6263 (multiplicity 2)
Ce 0.0000 0.0000 0.5000 (multiplicity 1)
Tl 0.3333 0.6667 0.1841 (multiplicity 2)
O 0.1630 0.3261 0.3322 (multiplicity 6)
O 0.3333 0.6667 0.9286 (multiplicity 2)

Main lines, in order of rising 2θ (2θ from 10° to 90°):
hkl  2θ (°)  Rel. int.
1 0 1  19.78  15
0 1 2  27.73  83
1 1 0  28.49  100
2 0 2  40.18  42
1 0 4  48.58  16
1 2 2  49.99  34
3 0 0  50.45  21
2 2 0  58.95  16



Entry 9:
This entry pairs a crystal structure of BaCe2UO8 with its simulated powder X-ray diffraction pattern. Radiation: Cu Ka. Structure: a DFT-relaxed cell (PBE, Alexandria).

Structure:
abc: 4.138 7.570 5.565
angles: 90.00 90.06 90.00
Space group P2/m (No. 10)
Unique sites:
Ba 0.000 0.000 0.000 (multiplicity 1)
Ce 0.500 0.251 0.500 (multiplicity 2)
U 0.000 0.500 0.000 (multiplicity 1)
O 0.000 0.294 0.251 (multiplicity 4)
O 0.500 0.000 0.283 (multiplicity 2)
O 0.500 0.500 0.233 (multiplicity 2)

Main lines, in order of rising 2θ (2θ from 10° to 90°):
hkl  2θ (°)  Rel. int.
1 0 1  26.85  100
0 2 1  28.52  84
1 2 0  32.05  40
0 0 2  32.17  19
2 0 0  43.75  19
1 2 2  46.05  63
2 2 1  53.06  30
1 4 1  55.92  26